[1]
Computed powder XRD pattern
Compound: FeNiAs
Radiation: Cu Ka
Structure: the GGA-PBE geometry in the Materials Project

Most intense lines, 2θ = 10–80°, sorted by position:
2θ (°), d [Å], I_rel
38.84, 2.319, 44.4
39.29, 2.293, 100.0
42.76, 2.115, 99.9
43.32, 2.089, 58.2
51.26, 1.782, 54.0
52.23, 1.751, 41.9
52.53, 1.742, 27.7
53.13, 1.724, 26.9

Crystal structure
```
data_FeNiAs
_space_group_name_H-M_alt 'A m m 2'
_space_group_IT_number 38
_space_group_name_Hall 'A 2 -2'
_cell_length_a 3.564
_cell_length_b 10.310
_cell_length_c 6.107
_cell_angle_alpha 90.00
_cell_angle_beta 90.00
_cell_angle_gamma 90.00
loop_
_atom_site_label
_atom_site_type_symbol
_atom_site_fract_x
_atom_site_fract_y
_atom_site_fract_z
_atom_site_occupancy
Fe1 Fe 0.000 0.000 0.000 1
Fe2 Fe 0.000 0.203 0.605 1
Ni1 Ni 0.500 0.000 0.648 1
Ni2 Ni 0.500 0.130 0.275 1
As1 As 0.000 0.000 0.395 1
As2 As 0.500 0.161 0.903 1
```

=====

[2]
Computed powder XRD pattern
Compound: FeNi2As2
Radiation: Cu Ka
Structure: the GGA-PBE geometry in the Materials Project

Most intense lines, 2θ = 10–80°, sorted by position:
2θ (°), d [Å], I_rel
25.67, 3.471, 32.2
29.61, 3.017, 41.4
39.58, 2.277, 70.6
43.35, 2.087, 100.0
45.95, 1.975, 36.3
52.54, 1.742, 46.5
52.75, 1.735, 32.9
53.37, 1.717, 74.0

Crystal structure
```
data_FeNi2As2
_space_group_name_H-M_alt 'I m m 2'
_space_group_IT_number 44
_space_group_name_Hall 'I 2 -2'
_cell_length_a 6.942
_cell_length_b 10.445
_cell_length_c 6.037
_cell_angle_alpha 90.00
_cell_angle_beta 90.00
_cell_angle_gamma 90.00
loop_
_atom_site_label
_atom_site_type_symbol
_atom_site_fract_x
_atom_site_fract_y
_atom_site_fract_z
_atom_site_occupancy
Fe1 Fe 0.000 0.000 0.000 1
Fe2 Fe 0.000 0.293 0.905 1
Ni1 Ni 0.248 0.000 0.349 1
Ni2 Ni 0.250 0.127 0.731 1
As1 As 0.000 0.000 0.599 1
As2 As 0.000 0.500 0.104 1
As3 As 0.250 0.166 0.104 1
```